# 1
This entry pairs a crystal structure of Th4C3 with its calculated XRD peak list. Radiation: Cu Kα (λ = 1.5418 Å). Structure: a DFT-relaxed cell (GGA-PBE, Alexandria).
Peak positions follow from Bragg's law for the DFT cell and can differ from measured ones.

Largest 5 diffraction maxima, by angle, 5 to 70 degrees two-theta:
2theta	intensity
29.17	100
33.81	60
48.56	44
57.65	47
60.48	15

Crystal structure
a = 5.3029 Å, b = 5.3029 Å, c = 5.3029 Å
α = 90.00°, β = 90.00°, γ = 90.00°
Fractional positions:
Th 0.0000 0.0000 0.0000
Th 0.0000 0.5000 0.5000
Th 0.5000 0.0000 0.5000
Th 0.5000 0.5000 0.0000
C 0.0000 0.0000 0.5000
C 0.0000 0.5000 0.0000
C 0.5000 0.0000 0.0000

# 2
This entry pairs a crystal structure of Th5C with its calculated XRD peak list. Radiation: Cu Kα (λ = 1.5418 Å). Structure: a DFT-relaxed cell (GGA-PBE, Alexandria).
Peak positions follow from Bragg's law for the DFT cell and can differ from measured ones.

Largest 5 diffraction maxima, by angle, 5 to 70 degrees two-theta:
2theta	intensity
30.10	100
34.89	53
50.18	38
59.63	44
62.57	13

Crystal structure
a = 14.9957 Å, b = 14.9957 Å, c = 14.9957 Å
α = 13.93°, β = 13.93°, γ = 13.93°
Fractional positions:
Th 0.0000 0.0000 0.0000
Th 0.1999 0.1999 0.1999
Th 0.3971 0.3971 0.3971
Th 0.6029 0.6029 0.6029
Th 0.8001 0.8001 0.8001
C 0.5000 0.5000 0.5000

# 3
This entry pairs a crystal structure of ThTi2C2 with its calculated XRD peak list. Radiation: Cu Kα (λ = 1.5418 Å). Structure: a DFT-relaxed cell (GGA-PBE, Alexandria).
Peak positions follow from Bragg's law for the DFT cell and can differ from measured ones.

Largest 12 diffraction maxima, by angle, 5 to 70 degrees two-theta:
2theta	intensity
18.48	71
27.69	42
31.57	23
31.70	100
33.42	67
33.57	23
39.69	25
43.99	35
49.45	19
50.69	13
51.56	14
52.62	14

Crystal structure
a = 5.7964 Å, b = 5.7964 Å, c = 5.8093 Å
α = 112.55°, β = 112.55°, γ = 103.17°
Fractional positions:
Th 0.1253 0.8747 0.7500
Th 0.8747 0.1253 0.2500
Ti 0.2371 0.4864 0.9747
Ti 0.4864 0.2371 0.4747
Ti 0.5136 0.7629 0.5253
Ti 0.7629 0.5136 0.0253
C 0.1684 0.8316 0.2500
C 0.4178 0.5822 0.7500
C 0.5822 0.4178 0.2500
C 0.8316 0.1684 0.7500

# 4
This entry pairs a crystal structure of Th3TlC2 with its calculated XRD peak list. Radiation: Cu Kα (λ = 1.5418 Å). Structure: a DFT-relaxed cell (GGA-PBE, Alexandria).
Peak positions follow from Bragg's law for the DFT cell and can differ from measured ones.

Largest 12 diffraction maxima, by angle, 5 to 70 degrees two-theta:
2theta	intensity
28.94	54
29.21	100
30.01	92
36.00	31
37.49	28
45.75	15
47.90	14
48.05	27
50.96	23
52.46	21
52.96	21
60.16	14

Crystal structure
a = 6.9830 Å, b = 6.9830 Å, c = 4.9940 Å
α = 108.57°, β = 108.57°, γ = 40.18°
Fractional positions:
Th 0.0000 0.0000 0.0000
Th 0.2487 0.2487 0.7366
Th 0.7513 0.7513 0.2634
Tl 0.5000 0.5000 0.5000
C 0.1950 0.1950 0.1600
C 0.8050 0.8050 0.8400

# 5
This entry pairs a crystal structure of TmTh3C8 with its calculated XRD peak list. Radiation: Cu Kα (λ = 1.5418 Å). Structure: a DFT-relaxed cell (GGA-PBE, Alexandria).
Peak positions follow from Bragg's law for the DFT cell and can differ from measured ones.

Largest 12 diffraction maxima, by angle, 5 to 70 degrees two-theta:
2theta	intensity
26.09	92
27.05	47
27.53	45
28.29	100
35.65	33
42.08	19
45.82	27
46.43	26
47.90	14
48.19	14
49.90	19
50.47	18

Crystal structure
a = 6.3285 Å, b = 6.3285 Å, c = 6.5633 Å
α = 115.80°, β = 115.80°, γ = 94.51°
Fractional positions:
Tm 0.0000 0.0000 0.0000
Th 0.1798 0.8202 0.5000
Th 0.4293 0.5707 0.0000
Th 0.7206 0.2794 0.5000
C 0.0370 0.5913 0.9882
C 0.1215 0.3938 0.4539
C 0.1547 0.2016 0.4776
C 0.3937 0.1792 0.0275
C 0.4087 0.9630 0.0118
C 0.6062 0.8785 0.5461
C 0.7984 0.8453 0.5224
C 0.8208 0.6063 0.9725

# 6
This entry pairs a crystal structure of TmTh4C4 with its calculated XRD peak list. Radiation: Cu Kα (λ = 1.5418 Å). Structure: a DFT-relaxed cell (GGA-PBE, Alexandria).
Peak positions follow from Bragg's law for the DFT cell and can differ from measured ones.

Largest 9 diffraction maxima, by angle, 5 to 70 degrees two-theta:
2theta	intensity
15.15	2
29.32	100
33.39	21
34.28	39
48.61	29
49.27	14
57.20	16
58.37	30
60.83	15

Crystal structure
a = 6.4348 Å, b = 6.4348 Å, c = 6.4348 Å
α = 100.01°, β = 100.01°, γ = 130.71°
Fractional positions:
Tm 0.0000 0.0000 0.0000
Th 0.1944 0.3954 0.5898
Th 0.3954 0.8056 0.2010
Th 0.6046 0.1944 0.7990
Th 0.8056 0.6046 0.4102
C 0.0909 0.7006 0.7915
C 0.2994 0.0909 0.3904
C 0.7006 0.9091 0.6096
C 0.9091 0.2994 0.2085

# 7
This entry pairs a crystal structure of Tm2Th5C5 with its calculated XRD peak list. Radiation: Cu Kα (λ = 1.5418 Å). Structure: a DFT-relaxed cell (GGA-PBE, Alexandria).
Peak positions follow from Bragg's law for the DFT cell and can differ from measured ones.

Largest 12 diffraction maxima, by angle, 5 to 70 degrees two-theta:
2theta	intensity
26.06	31
27.49	47
29.37	100
31.87	76
32.92	69
33.12	74
33.44	84
34.54	67
49.53	34
58.78	31
60.89	31
61.10	36

Crystal structure
a = 6.3545 Å, b = 6.3545 Å, c = 10.9742 Å
α = 106.02°, β = 106.02°, γ = 33.67°
Fractional positions:
Tm 0.0276 0.0276 0.2848
Tm 0.9724 0.9724 0.7152
Th 0.2572 0.2572 0.1446
Th 0.3428 0.3428 0.4489
Th 0.5000 0.5000 0.0000
Th 0.6572 0.6572 0.5511
Th 0.7428 0.7428 0.8554
C 0.0000 0.0000 0.5000
C 0.1264 0.1264 0.9273
C 0.3332 0.3332 0.6902
C 0.6668 0.6668 0.3098
C 0.8736 0.8736 0.0727

# 8
This entry pairs a crystal structure of ThZr2VC4 with its calculated XRD peak list. Radiation: Cu Kα (λ = 1.5418 Å). Structure: a DFT-relaxed cell (GGA-PBE, Alexandria).
Peak positions follow from Bragg's law for the DFT cell and can differ from measured ones.

Largest 12 diffraction maxima, by angle, 5 to 70 degrees two-theta:
2theta	intensity
17.06	29
27.82	68
28.47	20
30.70	43
31.04	40
31.55	100
36.00	56
38.55	48
44.22	23
48.38	20
50.06	29
53.55	27

Crystal structure
a = 6.0671 Å, b = 6.0671 Å, c = 11.5228 Å
α = 90.00°, β = 90.00°, γ = 147.53°
Fractional positions:
Th 0.1024 0.8976 0.7500
Th 0.8976 0.1024 0.2500
Zr 0.3695 0.6305 0.5427
Zr 0.3695 0.6305 0.9573
Zr 0.6305 0.3695 0.0427
Zr 0.6305 0.3695 0.4573
V 0.1627 0.8373 0.2500
V 0.8373 0.1627 0.7500
C 0.0000 0.0000 0.0000
C 0.0000 0.0000 0.5000
C 0.2624 0.7376 0.1213
C 0.2624 0.7376 0.3787
C 0.4295 0.5705 0.7500
C 0.5705 0.4295 0.2500
C 0.7376 0.2624 0.6213
C 0.7376 0.2624 0.8787